# 1
Structure and simulated XRD peak list of NaH3Pd (a DFT-relaxed cell (GGA-PBE, Alexandria); Cu Kα (λ = 1.5418 Å)).
Peak positions follow from Bragg's law for the DFT cell and can differ from measured ones.

Top 10 peaks for 2θ from 10° to 90°, low angle first:
2θ 19.99, I 100; 2θ 21.31, I 28; 2θ 32.43, I 43; 2θ 32.60, I 79; 2θ 35.38, I 60; 2θ 35.76, I 34; 2θ 38.88, I 16; 2θ 40.39, I 24; 2θ 44.78, I 17; 2θ 56.10, I 16

Crystal structure
Unit cell a=5.101 b=5.101 c=5.086 alpha=114.32 beta=114.32 gamma=94.31
Atoms (fractional coordinates):
Na (0.149, 0.851, 0.500)
Na (0.851, 0.149, 0.000)
H (0.002, 0.509, 0.758)
H (0.290, 0.431, 0.196)
H (0.431, 0.290, 0.696)
H (0.509, 0.002, 0.258)
H (0.567, 0.712, 0.807)
H (0.712, 0.567, 0.307)
Pd (0.404, 0.599, 0.004)
Pd (0.599, 0.404, 0.504)

---

# 2
Structure and simulated XRD peak list of RbTl6Bi2 (a DFT-relaxed cell (GGA-PBE, Alexandria); Cu Kα (λ = 1.5418 Å)).
Peak positions follow from Bragg's law for the DFT cell and can differ from measured ones.

Top 10 peaks for 2θ from 10° to 90°, low angle first:
2θ 28.37, I 88; 2θ 28.83, I 15; 2θ 33.46, I 100; 2θ 33.62, I 77; 2θ 48.29, I 28; 2θ 52.80, I 24; 2θ 56.96, I 26; 2θ 60.02, I 39; 2θ 70.58, I 16; 2θ 80.55, I 22

Crystal structure
Unit cell a=5.331 b=5.331 c=11.414 alpha=90.00 beta=90.00 gamma=90.00
Atoms (fractional coordinates):
Rb (0.000, 0.000, 0.000)
Tl (0.000, 0.000, 0.500)
Tl (0.000, 0.500, 0.306)
Tl (0.000, 0.500, 0.694)
Tl (0.500, 0.000, 0.306)
Tl (0.500, 0.000, 0.694)
Tl (0.500, 0.500, 0.500)
Bi (0.500, 0.500, 0.138)
Bi (0.500, 0.500, 0.862)

---

# 3
Structure and simulated XRD peak list of YSc2In (a DFT-relaxed cell (GGA-PBE, Alexandria); Cu Kα (λ = 1.5418 Å)).
Peak positions follow from Bragg's law for the DFT cell and can differ from measured ones.

Top 10 peaks for 2θ from 10° to 90°, low angle first:
2θ 13.59, I 27; 2θ 23.95, I 21; 2θ 29.21, I 13; 2θ 32.56, I 100; 2θ 33.91, I 89; 2θ 37.93, I 64; 2θ 39.85, I 28; 2θ 56.18, I 39; 2θ 64.33, I 25; 2θ 66.76, I 22

Crystal structure
Unit cell a=3.462 b=4.524 c=6.514 alpha=90.00 beta=90.00 gamma=90.00
Atoms (fractional coordinates):
Y (0.000, 0.000, 0.000)
Sc (0.000, 0.000, 0.503)
Sc (0.500, 0.500, 0.736)
In (0.500, 0.500, 0.259)